This entry pairs a crystal structure of PaAlSiAu with its computed X-ray powder pattern. Radiation: Cu Kα X-rays. Structure: a structure optimized by DFT (PBE).

Most intense lines, 2θ from 10° to 80°, in order of rising 2θ:
d = 4.084 Å, 2θ = 21.8°, intensity 44, hkl 0 1 1
d = 3.469 Å, 2θ = 25.7°, intensity 50, hkl 1 0 1
d = 2.830 Å, 2θ = 31.6°, intensity 100, hkl 1 1 0
d = 2.745 Å, 2θ = 32.6°, intensity 90, hkl 0 1 3
d = 2.533 Å, 2θ = 35.4°, intensity 64, hkl 1 0 3
d = 2.490 Å, 2θ = 36.1°, intensity 32, hkl 1 1 2
d = 2.217 Å, 2θ = 40.7°, intensity 32, hkl 0 2 0
d = 1.923 Å, 2θ = 47.3°, intensity 36, hkl 1 1 4
d = 1.668 Å, 2θ = 55.0°, intensity 37, hkl 1 2 3
d = 1.527 Å, 2θ = 60.6°, intensity 32, hkl 2 1 3

Crystal structure
Cell: 3.676 4.434 10.486 Å, 90.00 90.00 90.00°
Space group Imm2 (No. 44)
One atom of each set of equivalent atoms:
Pa 0.000 0.000 0.000 x2
Al 0.000 0.500 0.214 x2
Si 0.000 0.000 0.551 x2
Au 0.000 0.000 0.317 x2